No. 1
Structure and computed X-ray diffraction stick pattern of Ac2BiAs3 (DFT lattice parameters and positions (GGA-PBE); Cu Ka).
Intensities are scaled so that the largest is 100.

Largest 8 diffraction maxima, in order of rising 2θ, 2θ from 10° to 90°:
| 2θ (°) | intensity |
| --- | --- |
| 24.0 | 31.5 |
| 24.4 | 31.4 |
| 28.0 | 100.0 |
| 28.1 | 51.3 |
| 40.1 | 77.3 |
| 40.5 | 19.6 |
| 49.2 | 19.2 |
| 50.1 | 21.4 |

Structural model:
Cell: 4.4496 19.0286 4.5608 Å, 90.00 90.00 90.00°
Fractional coordinates of all 12 atoms:
Ac  0.0000  0.1649  0.0000
Ac  0.0000  0.8351  0.0000
Ac  0.5000  0.3351  0.5000
Ac  0.5000  0.6649  0.5000
Bi  0.0000  0.5000  0.0708
Bi  0.5000  0.0000  0.5708
As  0.0000  0.0000  0.9731
As  0.0000  0.3342  0.0066
As  0.0000  0.6658  0.0066
As  0.5000  0.1658  0.5066
As  0.5000  0.5000  0.4731
As  0.5000  0.8342  0.5066

No. 2
Structure and computed X-ray diffraction stick pattern of TmMnCr (DFT lattice parameters and positions (GGA-PBE); Cu Ka).
Intensities are scaled so that the largest is 100.

Largest 8 diffraction maxima, in order of rising 2θ, 2θ from 10° to 90°:
| 2θ (°) | intensity |
| --- | --- |
| 20.6 | 34.7 |
| 27.0 | 64.9 |
| 34.2 | 56.9 |
| 36.9 | 100.0 |
| 38.6 | 40.0 |
| 44.1 | 21.3 |
| 46.3 | 19.3 |
| 54.4 | 33.1 |

Structural model:
Cell: 6.6021 6.6021 5.7095 Å, 90.00 90.00 90.00°
Fractional coordinates of all 12 atoms:
Tm  0.2299  0.2299  0.0000
Tm  0.2701  0.7299  0.2500
Tm  0.7299  0.2701  0.7500
Tm  0.7701  0.7701  0.5000
Mn  0.1929  0.8071  0.7500
Mn  0.3071  0.3071  0.5000
Mn  0.6929  0.6929  0.0000
Mn  0.8071  0.1929  0.2500
Cr  0.0677  0.0677  0.5000
Cr  0.4323  0.5677  0.7500
Cr  0.5677  0.4323  0.2500
Cr  0.9323  0.9323  0.0000

No. 3
Structure and computed X-ray diffraction stick pattern of Ni2Mo3N (DFT lattice parameters and positions (GGA-PBE); Cu Ka).
Intensities are scaled so that the largest is 100.

Largest 8 diffraction maxima, in order of rising 2θ, 2θ from 10° to 90°:
| 2θ (°) | intensity |
| --- | --- |
| 40.6 | 100.0 |
| 42.9 | 56.4 |
| 45.1 | 27.0 |
| 58.8 | 7.9 |
| 72.3 | 24.0 |
| 77.1 | 20.0 |
| 86.4 | 7.4 |
| 88.0 | 7.4 |

Structural model:
Cell: 6.6603 6.6603 6.6603 Å, 90.00 90.00 90.00°
Fractional coordinates of all 24 atoms:
Ni  0.0665  0.0665  0.0665
Ni  0.1835  0.8165  0.3165
Ni  0.3165  0.1835  0.8165
Ni  0.4335  0.9335  0.5665
Ni  0.5665  0.4335  0.9335
Ni  0.6835  0.6835  0.6835
Ni  0.8165  0.3165  0.1835
Ni  0.9335  0.5665  0.4335
Mo  0.0495  0.8750  0.7005
Mo  0.1250  0.2005  0.4505
Mo  0.2005  0.4505  0.1250
Mo  0.2995  0.5495  0.6250
Mo  0.3750  0.7995  0.9505
Mo  0.4505  0.1250  0.2005
Mo  0.5495  0.6250  0.2995
Mo  0.6250  0.2995  0.5495
Mo  0.7005  0.0495  0.8750
Mo  0.7995  0.9505  0.3750
Mo  0.8750  0.7005  0.0495
Mo  0.9505  0.3750  0.7995
N  0.1250  0.6250  0.8750
N  0.3750  0.3750  0.3750
N  0.6250  0.8750  0.1250
N  0.8750  0.1250  0.6250

No. 4
Structure and computed X-ray diffraction stick pattern of Cd6TePd12 (DFT lattice parameters and positions (GGA-PBE); Cu Ka).
Intensities are scaled so that the largest is 100.

Largest 8 diffraction maxima, in order of rising 2θ, 2θ from 10° to 90°:
| 2θ (°) | intensity |
| --- | --- |
| 26.2 | 10.4 |
| 38.5 | 100.0 |
| 38.7 | 26.5 |
| 39.8 | 46.7 |
| 42.0 | 35.9 |
| 42.1 | 9.9 |
| 67.3 | 11.0 |
| 71.4 | 13.1 |

Structural model:
Cell: 7.1757 7.1757 7.1757 Å, 101.69 101.69 101.69°
Fractional coordinates of all 19 atoms:
Cd  0.0559  0.3252  0.3239
Cd  0.3239  0.0559  0.3252
Cd  0.3252  0.3239  0.0559
Cd  0.6748  0.6761  0.9441
Cd  0.6761  0.9441  0.6748
Cd  0.9441  0.6748  0.6761
Te  0.5000  0.5000  0.5000
Pd  0.0891  0.6823  0.0902
Pd  0.0902  0.0891  0.6823
Pd  0.2423  0.4994  0.7580
Pd  0.2420  0.7577  0.5006
Pd  0.3177  0.9098  0.9109
Pd  0.4994  0.7580  0.2423
Pd  0.5006  0.2420  0.7577
Pd  0.6823  0.0902  0.0891
Pd  0.7580  0.2423  0.4994
Pd  0.7577  0.5006  0.2420
Pd  0.9098  0.9109  0.3177
Pd  0.9109  0.3177  0.9098

No. 5
Structure and computed X-ray diffraction stick pattern of H4SCl (DFT lattice parameters and positions (GGA-PBE); Cu Ka).
Intensities are scaled so that the largest is 100.

Largest 8 diffraction maxima, in order of rising 2θ, 2θ from 10° to 90°:
| 2θ (°) | intensity |
| --- | --- |
| 23.5 | 100.0 |
| 24.2 | 8.6 |
| 24.7 | 52.1 |
| 27.1 | 23.9 |
| 34.4 | 10.5 |
| 37.8 | 9.1 |
| 40.5 | 14.7 |
| 42.7 | 10.1 |

Structural model:
Cell: 4.8062 11.0348 5.2647 Å, 90.00 98.24 90.00°
Fractional coordinates of all 12 atoms:
H  0.0000  0.0000  0.0000
H  0.0402  0.0000  0.6354
H  0.1775  0.5000  0.8332
H  0.3719  0.4659  0.3159
H  0.3719  0.5341  0.3159
H  0.5579  0.1626  0.5425
H  0.5579  0.8374  0.5425
H  0.8751  0.5000  0.5459
S  0.8252  0.0000  0.7748
S  0.8943  0.5000  0.8037
Cl  0.3688  0.1955  0.3526
Cl  0.3688  0.8045  0.3526

No. 6
Structure and computed X-ray diffraction stick pattern of La3Sm2Dy5 (DFT lattice parameters and positions (GGA-PBE); Cu Ka).
Intensities are scaled so that the largest is 100.

Largest 8 diffraction maxima, in order of rising 2θ, 2θ from 10° to 90°:
| 2θ (°) | intensity |
| --- | --- |
| 29.5 | 100.0 |
| 30.9 | 96.0 |
| 31.9 | 20.7 |
| 33.3 | 45.7 |
| 36.3 | 19.0 |
| 48.8 | 19.3 |
| 60.3 | 20.4 |
| 63.1 | 21.2 |

Structural model:
Cell: 9.9543 9.9543 9.2565 Å, 108.27 108.27 114.59°
Fractional coordinates of all 20 atoms:
La  0.0207  0.2717  0.0476
La  0.2319  0.7681  0.7500
La  0.2717  0.0207  0.5476
La  0.7283  0.9793  0.4524
La  0.7681  0.2319  0.2500
La  0.9793  0.7283  0.9524
Sm  0.2344  0.4713  0.4601
Sm  0.4713  0.2344  0.9601
Sm  0.5287  0.7656  0.0399
Sm  0.7656  0.5287  0.5399
Dy  0.0260  0.9740  0.7500
Dy  0.1448  0.3711  0.7663
Dy  0.2753  0.7247  0.2500
Dy  0.3711  0.1448  0.2663
Dy  0.4696  0.5304  0.2500
Dy  0.5304  0.4696  0.7500
Dy  0.6289  0.8552  0.7337
Dy  0.7247  0.2753  0.7500
Dy  0.8552  0.6289  0.2337
Dy  0.9740  0.0260  0.2500